1.
# Mn3H2
Calculated powder X-ray diffraction pattern, Cu Kα. Input: a crystal structure in Alexandria, relaxed with GGA-PBE.

Principal peaks in the range 10° ≤ 2θ ≤ 90°, sorted by position:
2theta	intensity
40.05	24
44.48	24
46.06	100
61.38	13
72.76	15
83.05	15
86.45	2
89.43	17

Atomic structure:
```
Mn3H2
1.0
2.251 1.300 4.074
-2.251 1.300 4.074
0.000 -2.600 4.074
Mn H
6 4
Cartesian
-1.496 0.008 5.093
-0.755 -1.292 7.130
0.741 -1.300 5.093
-0.741 1.300 7.130
0.755 1.292 5.093
1.496 -0.008 7.130
0.000 0.000 1.995
0.000 0.000 4.116
0.000 0.000 8.107
0.000 0.000 10.227
```

2.
# SrPrPd10
Calculated powder X-ray diffraction pattern, Cu Kα. Input: a crystal structure in Alexandria, relaxed with GGA-PBE.

Principal peaks in the range 10° ≤ 2θ ≤ 90°, sorted by position:
2theta	intensity
33.07	20
38.38	30
38.86	100
40.28	34
43.56	37
62.96	23
69.40	19
83.42	24

Atomic structure:
```
SrPrPd10
1.0
4.477 0.000 0.000
0.000 5.414 0.000
0.000 0.000 9.386
Sr Pr Pd
1 1 10
Cartesian
0.000 0.000 0.000
0.000 2.707 4.693
0.000 0.000 3.170
0.000 0.000 6.217
0.000 2.707 1.614
0.000 2.707 7.772
2.239 0.000 4.693
2.239 1.363 2.380
2.239 1.363 7.007
2.239 2.707 0.000
2.239 4.052 2.380
2.239 4.052 7.007
```

3.
# La6NdHoTh2
Calculated powder X-ray diffraction pattern, Cu Kα. Input: a crystal structure in Alexandria, relaxed with GGA-PBE.

Principal peaks in the range 10° ≤ 2θ ≤ 90°, sorted by position:
2theta	intensity
27.54	19
27.64	19
28.86	30
29.10	74
29.26	24
30.78	62
31.69	100
36.04	24

Atomic structure:
```
La6NdHoTh2
1.0
4.984 -7.775 0.000
4.984 7.775 0.000
-0.072 0.000 9.093
La Nd Ho Th
12 2 2 4
Cartesian
2.429 3.378 6.225
4.205 5.484 8.264
5.655 5.484 5.375
4.240 2.225 0.822
5.691 2.225 3.725
2.466 -3.378 1.678
7.430 3.378 7.415
4.204 -2.225 5.368
5.655 -2.225 8.272
4.241 -5.484 3.718
5.691 -5.484 0.829
7.466 -3.378 2.868
4.966 6.803 2.273
4.930 -6.803 6.820
4.930 0.982 6.820
4.966 -0.982 2.273
2.483 0.772 3.955
2.447 -0.772 8.501
7.449 0.772 0.592
7.413 -0.772 5.138
```

4.
# KPr2AgO5
Calculated powder X-ray diffraction pattern, Cu Kα. Input: a crystal structure in Alexandria, relaxed with GGA-PBE.

Principal peaks in the range 10° ≤ 2θ ≤ 90°, sorted by position:
2theta	intensity
14.71	31
18.20	34
28.96	25
29.68	39
29.87	100
32.64	66
41.95	51
44.19	32

Atomic structure:
```
KPr2AgO5
1.0
6.893 0.000 0.000
0.000 6.893 0.000
0.000 0.000 6.020
K Pr Ag O
2 4 2 10
Cartesian
0.000 0.000 0.000
3.447 3.447 0.000
1.223 2.224 3.010
2.224 5.670 3.010
4.669 1.223 3.010
5.670 4.669 3.010
0.000 3.447 0.000
3.447 0.000 0.000
0.000 0.000 3.010
0.926 4.373 1.533
0.926 4.373 4.487
2.520 0.926 1.533
2.520 0.926 4.487
3.447 3.447 3.010
4.373 5.967 1.533
4.373 5.967 4.487
5.967 2.520 1.533
5.967 2.520 4.487
```

5.
# Mg2CdHgPb
Calculated powder X-ray diffraction pattern, Cu Kα. Input: a crystal structure in Alexandria, relaxed with GGA-PBE.

Principal peaks in the range 10° ≤ 2θ ≤ 90°, sorted by position:
2theta	intensity
20.55	25
23.84	32
28.40	25
33.24	21
34.80	100
35.37	51
37.65	32
48.85	24

Atomic structure:
```
Mg2CdHgPb
1.0
5.979 0.000 0.000
0.000 5.156 0.000
-2.238 0.000 7.929
Mg Cd Hg Pb
4 2 2 2
Cartesian
0.476 1.289 0.819
0.198 3.867 5.264
3.543 1.289 2.665
3.265 3.867 7.109
-0.581 3.867 2.230
4.322 1.289 5.698
0.686 1.289 3.683
3.055 3.867 4.246
2.381 3.867 0.889
1.359 1.289 7.040
```

6.
# La2Dy3Pb4
Calculated powder X-ray diffraction pattern, Cu Kα. Input: a crystal structure in Alexandria, relaxed with GGA-PBE.

Principal peaks in the range 10° ≤ 2θ ≤ 90°, sorted by position:
2theta	intensity
27.77	37
29.85	95
30.23	42
30.97	80
33.34	30
33.65	46
33.79	28
34.12	100

Atomic structure:
```
La2Dy3Pb4
1.0
8.534 0.000 0.000
0.000 8.512 0.000
-2.998 0.000 7.734
La Dy Pb
4 6 8
Cartesian
1.465 1.522 0.454
-0.034 2.734 4.321
5.570 5.778 3.413
4.071 6.990 7.280
1.381 5.613 1.862
-0.118 7.155 5.729
2.768 0.000 3.867
4.267 4.256 0.000
5.655 1.357 2.005
4.156 2.899 5.872
-1.768 4.620 6.470
-0.269 8.148 2.602
1.634 1.191 6.650
3.133 3.065 2.782
2.404 5.447 4.952
3.902 7.321 1.085
5.805 0.364 5.132
7.304 3.892 1.265
```

7.
# Rb7NaAu2
Calculated powder X-ray diffraction pattern, Cu Kα. Input: a crystal structure in Alexandria, relaxed with GGA-PBE.

Principal peaks in the range 10° ≤ 2θ ≤ 90°, sorted by position:
2theta	intensity
14.71	38
16.83	54
20.43	52
26.91	100
29.09	81
31.06	70
41.61	34
50.25	36

Atomic structure:
```
Rb7NaAu2
1.0
-3.069 3.069 15.389
3.069 -3.069 15.389
3.069 3.069 -15.389
Rb Na Au
7 1 2
Cartesian
0.000 0.000 0.000
3.069 0.000 3.571
3.069 0.000 7.695
3.069 0.000 11.818
0.000 3.069 3.571
0.000 3.069 7.695
0.000 3.069 11.818
0.000 0.000 15.389
0.000 0.000 5.562
0.000 0.000 25.217
```

8.
# Ba8P5
Calculated powder X-ray diffraction pattern, Cu Kα. Input: a crystal structure in Alexandria, relaxed with GGA-PBE.

Principal peaks in the range 10° ≤ 2θ ≤ 90°, sorted by position:
2theta	intensity
11.55	36
23.21	50
24.28	43
24.54	100
24.99	97
25.19	49
32.43	55
38.28	75

Atomic structure:
```
Ba8P5
1.0
7.671 -4.699 0.000
7.671 4.699 0.000
-7.315 0.000 8.151
Ba P
8 5
Cartesian
6.199 -2.619 5.417
1.828 2.619 2.734
-1.419 0.000 1.627
6.199 2.619 5.417
5.956 0.000 1.314
2.070 0.000 6.837
1.828 -2.619 2.734
9.446 0.000 6.524
-3.657 0.000 4.075
7.671 2.255 0.000
0.677 0.000 4.098
7.350 0.000 4.052
7.671 -2.255 0.000
```